Record 1
# Pm8DySc5
Simulated powder X-ray diffraction pattern, Cu Ka. Input: a DFT-relaxed cell (GGA-PBE, Alexandria).

Largest 12 diffraction maxima, sorted by position, 2θ from 10° to 90°:
2theta	I_rel	hkl
13.97	166	1 0 0
21.21	130	1 0 -2
23.70	123	1 -2 1
26.06	163	0 2 0
30.72	156	2 -2 1
30.92	165	2 -1 1
32.22	1000	1 1 -3
33.06	466	-2 2 2
33.15	343	1 -3 1
34.10	172	-3 1 2
34.39	349	1 0 2
35.96	243	3 -2 0

Structure:
```
data_Pm8DySc5
_chemical_formula_sum 'Pm8 Dy1 Sc5'
_space_group_name_H-M_alt 'P 1'
_space_group_IT_number 1
_cell_length_a 8.1744
_cell_length_b 8.2229
_cell_length_c 8.4999
_cell_angle_alpha 98.99
_cell_angle_beta 112.98
_cell_angle_gamma 115.49
loop_
_space_group_symop_operation_xyz
'x,y,z'
loop_
_atom_site_label
_atom_site_fract_x
_atom_site_fract_y
_atom_site_fract_z
_atom_site_occupancy
Pm1 0.0000 0.0000 0.0000 1
Pm2 0.0016 0.6079 0.5685 1
Pm3 0.2637 0.9732 0.4039 1
Pm4 0.2796 0.4544 0.8569 1
Pm5 0.4040 0.5995 0.3736 1
Pm6 0.5468 0.2787 0.2478 1
Pm7 0.7622 0.1129 0.6089 1
Pm8 0.8891 0.3992 0.0612 1
Dy1 0.2874 0.0837 0.7890 1
Sc1 0.0395 0.2183 0.3998 1
Sc2 0.2822 0.8022 0.0454 1
Sc3 0.5284 0.8604 0.8192 1
Sc4 0.6221 0.4863 0.7193 1
Sc5 0.7446 0.7348 0.1877 1
```

=====

Record 2
# Na4Hg15Bi
Simulated powder X-ray diffraction pattern, Cu Ka. Input: a DFT-relaxed cell (GGA-PBE, Alexandria).

Largest 12 diffraction maxima, sorted by position, 2θ from 10° to 90°:
2theta	I_rel	hkl
19.57	79	1 0 0
26.41	77	1 0 5
33.09	1000	1 1 5
35.54	197	0 0 10
39.75	311	2 0 0
54.37	237	2 0 10
57.47	107	2 2 0
62.28	148	1 1 15
67.94	258	3 1 5
69.43	115	2 2 10
88.65	54	2 0 20
89.83	117	3 1 15

Structure:
```
data_Na4Hg15Bi
_chemical_formula_sum 'Na4 Hg15 Bi1'
_space_group_name_H-M_alt 'P 4/m m m'
_space_group_IT_number 123
_space_group_name_Hall '-P 4 2'
_cell_length_a 4.5355
_cell_length_b 4.5355
_cell_length_c 25.2573
_cell_angle_alpha 90.00
_cell_angle_beta 90.00
_cell_angle_gamma 90.00
loop_
_atom_site_label
_atom_site_fract_x
_atom_site_fract_y
_atom_site_fract_z
_atom_site_occupancy
Na1 0.0000 0.0000 0.0992 1
Na2 0.0000 0.0000 0.2981 1
Hg1 0.0000 0.5000 0.0000 1
Hg2 0.0000 0.5000 0.1969 1
Hg3 0.0000 0.5000 0.3941 1
Hg4 0.5000 0.5000 0.0952 1
Hg5 0.5000 0.5000 0.2948 1
Hg6 0.5000 0.5000 0.5000 1
Bi1 0.0000 0.0000 0.5000 1
```

=====

Record 3
# Nd5Si2P2
Simulated powder X-ray diffraction pattern, Cu Ka. Input: a DFT-relaxed cell (GGA-PBE, Alexandria).

Largest 12 diffraction maxima, sorted by position, 2θ from 10° to 90°:
2theta	I_rel	hkl
24.13	309	3 1 1
25.61	713	0 2 1
26.10	483	1 1 2
31.24	1000	3 1 2
32.41	344	0 2 2
33.17	429	4 0 2
33.40	507	4 2 0
35.35	627	4 2 1
36.28	288	6 0 0
36.68	425	1 1 3
37.09	443	1 3 1
53.06	417	3 3 3

Structure:
```
data_Nd5Si2P2
_chemical_formula_sum 'Nd20 Si8 P8'
_space_group_name_H-M_alt 'C m c e'
_space_group_IT_number 64
_space_group_name_Hall '-C 2ac 2'
_cell_length_a 14.8588
_cell_length_b 7.7585
_cell_length_c 7.8668
_cell_angle_alpha 90.00
_cell_angle_beta 90.00
_cell_angle_gamma 90.00
loop_
_atom_site_label
_atom_site_fract_x
_atom_site_fract_y
_atom_site_fract_z
_atom_site_occupancy
Nd1 0.0000 0.0000 0.0000 1
Nd2 0.1422 0.1748 0.3328 1
Si1 0.0000 0.1133 0.6138 1
P1 0.1994 0.0000 0.0000 1
```

=====

Q: What is the formula in the third record?
A: Nd5Si2P2